This entry pairs a crystal structure of Tb4Dy8Mg with its computed PXRD pattern. Radiation: Cu Kα (λ = 1.5418 Å). Structure: a cell relaxed with GGA-PBE.

```
Tb4Dy8Mg
1.0
3.565 2.058 9.511
-3.565 2.058 9.511
0.000 -4.116 9.511
Tb Dy Mg
4 8 1
direct
0.000 0.000 0.000 Tb
0.000 0.500 0.500 Tb
0.500 0.000 0.500 Tb
0.500 0.500 0.000 Tb
0.212 0.212 0.212 Dy
0.217 0.746 0.746 Dy
0.254 0.254 0.783 Dy
0.254 0.783 0.254 Dy
0.746 0.217 0.746 Dy
0.746 0.746 0.217 Dy
0.783 0.254 0.254 Dy
0.788 0.788 0.788 Dy
0.500 0.500 0.500 Mg
```

Peak list (10 most intense, 5 to 70 degrees two-theta, by angle)
| two_theta | Rel. int. |
| --- | --- |
| 28.15 | 356 |
| 29.09 | 237 |
| 29.61 | 124 |
| 31.58 | 1000 |
| 32.99 | 495 |
| 38.57 | 322 |
| 51.06 | 190 |
| 51.26 | 308 |
| 59.50 | 253 |
| 61.46 | 143 |

This entry pairs a crystal structure of Nd12In3Sn with its computed PXRD pattern. Radiation: Cu Kα (λ = 1.5418 Å). Structure: a cell relaxed with GGA-PBE.

```
Nd12In3Sn
1.0
4.979 0.000 0.000
0.000 4.979 0.000
0.000 0.000 19.932
Nd In Sn
12 3 1
direct
0.000 0.000 0.000 Nd
0.000 0.000 0.249 Nd
0.000 0.000 0.500 Nd
0.000 0.000 0.751 Nd
0.000 0.500 0.123 Nd
0.000 0.500 0.374 Nd
0.000 0.500 0.626 Nd
0.000 0.500 0.877 Nd
0.500 0.000 0.123 Nd
0.500 0.000 0.374 Nd
0.500 0.000 0.626 Nd
0.500 0.000 0.877 Nd
0.500 0.500 0.249 In
0.500 0.500 0.500 In
0.500 0.500 0.751 In
0.500 0.500 0.000 Sn
```

Peak list (7 most intense, 5 to 70 degrees two-theta, by angle)
| two_theta | Rel. int. |
| --- | --- |
| 17.81 | 7 |
| 25.29 | 6 |
| 31.10 | 1000 |
| 36.07 | 504 |
| 51.93 | 354 |
| 61.78 | 418 |
| 64.85 | 120 |

This entry pairs a crystal structure of BaMg4Tl with its computed PXRD pattern. Radiation: Cu Kα (λ = 1.5418 Å). Structure: a cell relaxed with GGA-PBE.

```
BaMg4Tl
1.0
8.802 0.000 0.000
0.000 4.819 0.000
0.000 0.000 8.350
Ba Mg Tl
2 8 2
direct
0.250 0.000 0.124 Ba
0.750 0.000 0.876 Ba
0.000 0.000 0.500 Mg
0.054 0.500 0.795 Mg
0.250 0.500 0.453 Mg
0.446 0.500 0.795 Mg
0.500 0.000 0.500 Mg
0.554 0.500 0.205 Mg
0.750 0.500 0.547 Mg
0.946 0.500 0.205 Mg
0.250 0.000 0.715 Tl
0.750 0.000 0.285 Tl
```

Peak list (10 most intense, 5 to 70 degrees two-theta, by angle)
| two_theta | Rel. int. |
| --- | --- |
| 14.62 | 514 |
| 18.41 | 979 |
| 20.18 | 866 |
| 23.59 | 767 |
| 27.45 | 1000 |
| 30.09 | 898 |
| 33.78 | 463 |
| 34.99 | 705 |
| 37.32 | 428 |
| 37.47 | 421 |

This entry pairs a crystal structure of PuInPd4 with its computed PXRD pattern. Radiation: Cu Kα (λ = 1.5418 Å). Structure: a cell relaxed with GGA-PBE.

```
PuInPd4
1.0
0.000 3.821 3.821
3.821 0.000 3.821
3.821 3.821 0.000
Pu In Pd
1 1 4
direct
0.000 0.000 0.000 Pu
0.750 0.750 0.750 In
0.375 0.375 0.375 Pd
0.375 0.375 0.874 Pd
0.375 0.874 0.375 Pd
0.874 0.375 0.375 Pd
```

Peak list (10 most intense, 5 to 70 degrees two-theta, by angle)
| two_theta | Rel. int. |
| --- | --- |
| 20.12 | 55 |
| 23.28 | 57 |
| 33.16 | 432 |
| 39.09 | 1000 |
| 40.91 | 264 |
| 52.17 | 18 |
| 53.63 | 26 |
| 59.23 | 166 |
| 63.22 | 324 |
| 69.59 | 249 |

This entry pairs a crystal structure of Sm2SiN with its computed PXRD pattern. Radiation: Cu Kα (λ = 1.5418 Å). Structure: a cell relaxed with GGA-PBE.

```
Sm2SiN
1.0
2.220 1.282 7.435
-2.220 1.282 7.435
0.000 -2.564 7.435
Sm Si N
2 1 1
direct
0.094 0.094 0.094 Sm
0.906 0.906 0.906 Sm
0.500 0.500 0.500 Si
0.000 0.000 0.000 N
```

Peak list (10 most intense, 5 to 70 degrees two-theta, by angle)
| two_theta | Rel. int. |
| --- | --- |
| 23.48 | 1000 |
| 23.94 | 312 |
| 24.49 | 424 |
| 28.19 | 319 |
| 30.70 | 878 |
| 36.63 | 196 |
| 40.64 | 501 |
| 47.10 | 281 |
| 47.71 | 310 |
| 51.78 | 206 |

This entry pairs a crystal structure of NbCr3Cu2S8 with its computed PXRD pattern. Radiation: Cu Kα (λ = 1.5418 Å). Structure: a cell relaxed with GGA-PBE.

```
NbCr3Cu2S8
1.0
5.916 0.000 0.000
0.000 3.445 0.000
-0.023 0.000 11.501
Nb Cr Cu S
1 3 2 8
direct
0.000 0.000 0.000 Nb
0.440 0.500 0.994 Cr
0.492 0.500 0.507 Cr
0.959 0.000 0.487 Cr
0.477 0.500 0.254 Cu
0.980 0.000 0.740 Cu
0.137 0.500 0.608 S
0.140 0.500 0.135 S
0.310 0.000 0.864 S
0.314 0.000 0.388 S
0.620 0.000 0.110 S
0.649 0.000 0.619 S
0.789 0.500 0.879 S
0.804 0.500 0.374 S
```

Peak list (10 most intense, 5 to 70 degrees two-theta, by angle)
| two_theta | Rel. int. |
| --- | --- |
| 15.41 | 280 |
| 16.85 | 409 |
| 30.02 | 377 |
| 30.22 | 190 |
| 33.92 | 498 |
| 34.07 | 253 |
| 43.77 | 1000 |
| 43.91 | 475 |
| 53.18 | 218 |
| 53.55 | 385 |

This entry pairs a crystal structure of Tb2In3Rh2 with its computed PXRD pattern. Radiation: Cu Kα (λ = 1.5418 Å). Structure: a cell relaxed with GGA-PBE.

```
Tb2In3Rh2
1.0
3.620 0.000 0.000
0.000 3.927 0.000
-0.014 0.000 12.696
Tb In Rh
2 3 2
direct
0.001 0.000 0.159 Tb
0.999 0.000 0.841 Tb
0.001 0.500 0.388 In
0.500 0.500 0.000 In
0.999 0.500 0.612 In
0.499 0.500 0.773 Rh
0.501 0.500 0.227 Rh
```

Peak list (10 most intense, 5 to 70 degrees two-theta, by angle)
| two_theta | Rel. int. |
| --- | --- |
| 6.96 | 755 |
| 13.95 | 293 |
| 31.07 | 563 |
| 33.68 | 360 |
| 34.43 | 1000 |
| 35.35 | 297 |
| 37.69 | 827 |
| 40.02 | 436 |
| 46.24 | 338 |
| 61.12 | 392 |

This entry pairs a crystal structure of PmEr2Re with its computed PXRD pattern. Radiation: Cu Kα (λ = 1.5418 Å). Structure: a cell relaxed with GGA-PBE.

```
PmEr2Re
1.0
1.614 0.932 11.348
-1.614 0.932 11.348
0.000 -1.863 11.348
Pm Er Re
1 2 1
direct
0.000 0.000 0.000 Pm
0.422 0.422 0.422 Er
0.578 0.578 0.578 Er
0.500 0.500 0.500 Re
```

Peak list (10 most intense, 5 to 70 degrees two-theta, by angle)
| two_theta | Rel. int. |
| --- | --- |
| 31.53 | 556 |
| 32.13 | 418 |
| 32.46 | 1000 |
| 34.70 | 155 |
| 37.10 | 206 |
| 41.82 | 305 |
| 47.58 | 176 |
| 49.70 | 420 |
| 57.08 | 336 |
| 66.68 | 393 |

This entry pairs a crystal structure of Na2ZrSi2O8 with its computed PXRD pattern. Radiation: Cu Kα (λ = 1.5418 Å). Structure: a cell relaxed with GGA-PBE.

```
Na2ZrSi2O8
1.0
2.774 -4.712 0.000
2.774 4.712 0.000
-0.668 0.000 13.371
Na Zr Si O
4 2 4 16
direct
0.035 0.965 0.500 Na
0.337 0.689 0.858 Na
0.689 0.337 0.358 Na
0.965 0.035 0.000 Na
0.001 0.986 0.751 Zr
0.986 0.001 0.251 Zr
0.310 0.608 0.623 Si
0.345 0.669 0.384 Si
0.608 0.310 0.123 Si
0.669 0.345 0.884 Si
0.120 0.274 0.640 O
0.139 0.775 0.333 O
0.204 0.787 0.691 O
0.249 0.344 0.350 O
0.274 0.120 0.140 O
0.289 0.682 0.505 O
0.344 0.249 0.850 O
0.482 0.655 0.029 O
0.639 0.724 0.659 O
0.655 0.482 0.529 O
0.676 0.879 0.367 O
0.682 0.289 0.005 O
0.724 0.639 0.159 O
0.775 0.139 0.833 O
0.787 0.204 0.191 O
0.879 0.676 0.867 O
```

Peak list (10 most intense, 5 to 70 degrees two-theta, by angle)
| two_theta | Rel. int. |
| --- | --- |
| 13.24 | 680 |
| 18.57 | 371 |
| 18.83 | 405 |
| 20.00 | 404 |
| 22.40 | 492 |
| 23.35 | 540 |
| 32.01 | 567 |
| 32.31 | 504 |
| 32.80 | 1000 |
| 33.37 | 430 |

This entry pairs a crystal structure of Pa2MoN with its computed PXRD pattern. Radiation: Cu Kα (λ = 1.5418 Å). Structure: a cell relaxed with GGA-PBE.

```
Pa2MoN
1.0
1.703 0.983 7.405
-1.703 0.983 7.405
0.000 -1.966 7.405
Pa Mo N
2 1 1
direct
0.233 0.233 0.233 Pa
0.767 0.767 0.767 Pa
0.000 0.000 0.000 Mo
0.500 0.500 0.500 N
```

Peak list (10 most intense, 5 to 70 degrees two-theta, by angle)
| two_theta | Rel. int. |
| --- | --- |
| 24.04 | 180 |
| 31.38 | 501 |
| 34.43 | 1000 |
| 36.40 | 221 |
| 36.57 | 313 |
| 44.83 | 289 |
| 53.84 | 328 |
| 62.85 | 188 |
| 65.49 | 157 |
| 66.74 | 235 |

This entry pairs a crystal structure of Na10B11C9 with its computed PXRD pattern. Radiation: Cu Kα (λ = 1.5418 Å). Structure: a cell relaxed with GGA-PBE.

```
Na10B11C9
1.0
8.443 0.000 0.000
0.000 7.105 2.458
0.000 -7.105 2.458
Na B C
10 11 9
direct
0.248 0.200 0.800 Na
0.248 0.800 0.200 Na
0.250 0.400 0.599 Na
0.250 0.599 0.400 Na
0.251 0.998 0.998 Na
0.749 0.998 0.998 Na
0.750 0.400 0.599 Na
0.750 0.599 0.400 Na
0.752 0.200 0.800 Na
0.752 0.800 0.200 Na
0.000 0.133 0.533 B
0.000 0.333 0.333 B
0.000 0.533 0.133 B
0.000 0.733 0.933 B
0.000 0.933 0.733 B
0.500 0.058 0.269 B
0.500 0.269 0.058 B
0.500 0.332 0.332 B
0.500 0.466 0.865 B
0.500 0.683 0.683 B
0.500 0.865 0.466 B
0.000 0.067 0.267 C
0.000 0.267 0.067 C
0.000 0.467 0.867 C
0.000 0.666 0.666 C
0.000 0.867 0.467 C
0.500 0.126 0.532 C
0.500 0.532 0.126 C
0.500 0.731 0.934 C
0.500 0.934 0.731 C
```

Peak list (7 most intense, 5 to 70 degrees two-theta, by angle)
| two_theta | Rel. int. |
| --- | --- |
| 21.04 | 7 |
| 36.53 | 173 |
| 42.54 | 1000 |
| 42.84 | 257 |
| 57.54 | 97 |
| 65.75 | 172 |
| 69.88 | 14 |

This entry pairs a crystal structure of Li4AcSi2 with its computed PXRD pattern. Radiation: Cu Kα (λ = 1.5418 Å). Structure: a cell relaxed with GGA-PBE.

```
Li4AcSi2
1.0
2.259 -6.673 0.000
2.259 6.673 0.000
0.000 0.000 4.534
Li Ac Si
4 1 2
direct
0.184 0.816 0.000 Li
0.304 0.696 0.500 Li
0.696 0.304 0.500 Li
0.816 0.184 0.000 Li
0.500 0.500 0.000 Ac
0.090 0.910 0.500 Si
0.910 0.090 0.500 Si
```

Peak list (10 most intense, 5 to 70 degrees two-theta, by angle)
| two_theta | Rel. int. |
| --- | --- |
| 13.27 | 1000 |
| 19.58 | 197 |
| 20.76 | 387 |
| 23.72 | 386 |
| 28.15 | 348 |
| 28.68 | 875 |
| 33.34 | 279 |
| 34.52 | 423 |
| 39.20 | 212 |
| 52.95 | 153 |